# 1
For CoOsRh, DFT lattice parameters and positions (PBE) gives the calculated X-ray diffraction stick pattern in this record (λ = 1.5418 Å (Cu Kα)).
No peak broadening, texture or thermal motion is included.

Largest 10 diffraction maxima, in order of rising 2θ, 2θ = 10–90°:
| 2θ/deg | intensity |
| --- | --- |
| 22.39 | 224 |
| 26.64 | 318 |
| 35.54 | 154 |
| 41.82 | 1000 |
| 42.00 | 978 |
| 48.47 | 643 |
| 49.40 | 307 |
| 71.71 | 392 |
| 85.80 | 247 |
| 86.16 | 237 |

Cell lengths 4.577, 4.577, 4.577 Å; angles 146.17, 132.46, 59.62 degrees
Positions (direct):
Co 0.000 0.000 0.000
Os 0.653 0.653 0.000
Rh 0.327 0.327 0.000

=====

# 2
For Ni8OsPt6, DFT lattice parameters and positions (PBE) gives the calculated X-ray diffraction stick pattern in this record (λ = 1.5418 Å (Cu Kα)).
No peak broadening, texture or thermal motion is included.

Largest 10 diffraction maxima, in order of rising 2θ, 2θ = 10–90°:
| 2θ/deg | intensity |
| --- | --- |
| 29.45 | 158 |
| 31.72 | 313 |
| 35.87 | 248 |
| 38.86 | 388 |
| 39.55 | 300 |
| 40.57 | 1000 |
| 46.90 | 829 |
| 47.24 | 186 |
| 67.78 | 245 |
| 69.20 | 210 |

Cell lengths 6.162, 6.162, 6.162 Å; angles 71.31, 71.31, 71.31 degrees
Positions (direct):
Ni 0.046 0.863 0.388
Ni 0.137 0.612 0.954
Ni 0.237 0.237 0.237
Ni 0.388 0.046 0.863
Ni 0.612 0.954 0.137
Ni 0.763 0.763 0.763
Ni 0.863 0.388 0.046
Ni 0.954 0.137 0.612
Os 0.000 0.000 0.000
Pt 0.171 0.427 0.625
Pt 0.375 0.829 0.573
Pt 0.427 0.625 0.171
Pt 0.573 0.375 0.829
Pt 0.625 0.171 0.427
Pt 0.829 0.573 0.375

=====

# 3
For V2BH, DFT lattice parameters and positions (PBE) gives the calculated X-ray diffraction stick pattern in this record (λ = 1.5418 Å (Cu Kα)).
No peak broadening, texture or thermal motion is included.

Largest 10 diffraction maxima, in order of rising 2θ, 2θ = 10–90°:
| 2θ/deg | intensity |
| --- | --- |
| 35.75 | 649 |
| 36.57 | 390 |
| 38.36 | 916 |
| 40.70 | 506 |
| 42.19 | 1000 |
| 43.06 | 444 |
| 45.16 | 445 |
| 50.01 | 372 |
| 69.82 | 325 |
| 73.54 | 326 |

Cell lengths 5.139, 5.759, 4.713 Å; angles 90.00, 90.00, 90.00 degrees
Positions (direct):
V 0.080 0.250 0.000
V 0.080 0.250 0.500
V 0.400 0.605 0.250
V 0.400 0.895 0.750
V 0.600 0.105 0.250
V 0.600 0.395 0.750
V 0.920 0.750 0.000
V 0.920 0.750 0.500
B 0.219 0.562 0.750
B 0.219 0.938 0.250
B 0.781 0.062 0.750
B 0.781 0.438 0.250
H 0.333 0.190 0.750
H 0.333 0.310 0.250
H 0.667 0.690 0.750
H 0.667 0.810 0.250

=====

# 4
For YBOsRh2, DFT lattice parameters and positions (PBE) gives the calculated X-ray diffraction stick pattern in this record (λ = 1.5418 Å (Cu Kα)).
No peak broadening, texture or thermal motion is included.

Largest 10 diffraction maxima, in order of rising 2θ, 2θ = 10–90°:
| 2θ/deg | intensity |
| --- | --- |
| 21.09 | 107 |
| 29.97 | 76 |
| 36.93 | 1000 |
| 42.78 | 176 |
| 42.96 | 347 |
| 62.24 | 228 |
| 62.38 | 113 |
| 74.50 | 127 |
| 74.75 | 251 |
| 78.61 | 116 |

Cell lengths 4.210, 4.210, 4.227 Å; angles 90.00, 90.00, 90.00 degrees
Positions (direct):
Y 0.000 0.000 0.000
B 0.500 0.500 0.500
Os 0.500 0.500 0.000
Rh 0.000 0.500 0.500
Rh 0.500 0.000 0.500

=====

# 5
For K2Ge2Te5, DFT lattice parameters and positions (PBE) gives the calculated X-ray diffraction stick pattern in this record (λ = 1.5418 Å (Cu Kα)).
No peak broadening, texture or thermal motion is included.

Largest 10 diffraction maxima, in order of rising 2θ, 2θ = 10–90°:
| 2θ/deg | intensity |
| --- | --- |
| 15.46 | 671 |
| 16.55 | 512 |
| 21.62 | 684 |
| 21.86 | 623 |
| 24.45 | 563 |
| 25.51 | 679 |
| 27.51 | 449 |
| 27.63 | 413 |
| 28.62 | 497 |
| 33.47 | 1000 |

Cell lengths 12.709, 12.709, 6.745 Å; angles 104.98, 104.98, 40.55 degrees
Positions (direct):
K 0.222 0.778 0.500
K 0.491 0.942 0.713
K 0.778 0.222 0.000
K 0.942 0.491 0.213
Ge 0.207 0.508 0.760
Ge 0.405 0.895 0.137
Ge 0.508 0.207 0.260
Ge 0.895 0.405 0.637
Te 0.119 0.121 0.857
Te 0.121 0.119 0.357
Te 0.138 0.752 0.947
Te 0.219 0.493 0.365
Te 0.493 0.219 0.865
Te 0.591 0.942 0.274
Te 0.605 0.609 0.343
Te 0.609 0.605 0.843
Te 0.752 0.138 0.447
Te 0.942 0.591 0.774

=====

# 6
For Sr4Ga3Pd, DFT lattice parameters and positions (PBE) gives the calculated X-ray diffraction stick pattern in this record (λ = 1.5418 Å (Cu Kα)).
No peak broadening, texture or thermal motion is included.

Largest 10 diffraction maxima, in order of rising 2θ, 2θ = 10–90°:
| 2θ/deg | intensity |
| --- | --- |
| 15.24 | 210 |
| 28.51 | 1000 |
| 29.74 | 636 |
| 36.06 | 685 |
| 36.93 | 364 |
| 37.84 | 349 |
| 40.51 | 288 |
| 51.05 | 275 |
| 53.91 | 239 |
| 56.63 | 211 |

Cell lengths 4.454, 4.755, 11.626 Å; angles 90.00, 90.00, 90.00 degrees
Positions (direct):
Sr 0.000 0.000 0.000
Sr 0.000 0.500 0.493
Sr 0.500 0.000 0.712
Sr 0.500 0.500 0.210
Ga 0.000 0.500 0.794
Ga 0.500 0.000 0.407
Ga 0.500 0.500 0.916
Pd 0.000 0.000 0.297

=====

> What is the formula in the second record?

Ni8OsPt6